Starting from DFT lattice parameters and positions (PBE), the X-ray powder pattern of Sr3Mg2Hg was computed for λ = 1.5418 Å (Cu Kα).
No peak broadening, texture or thermal motion is included.

Structural model:
Cell lengths 4.1142, 4.1142, 12.3424 Å; angles 90.00, 90.00, 90.00 degrees
Space group P4/mmm (No. 123)
Inequivalent atoms, fractional coordinates:
Sr1 0.0000 0.0000 0.0000
Sr2 0.0000 0.0000 0.3446
Mg1 0.5000 0.5000 0.1690
Hg1 0.5000 0.5000 0.5000

Largest 10 diffraction maxima, by angle, 2θ = 15–90°:
hkl  2θ (°)  I (rel.)
1 0 1  22.78  14
1 0 2  26.03  8
1 1 0  30.73  100
1 1 1  31.60  8
1 0 4  36.40  8
2 0 0  44.02  18
2 1 3  54.64  38
2 2 0  64.01  12
3 1 0  72.68  16
3 2 3  89.03  19